1.
Structure and computed powder diffraction line list of NdTe2ClO5 (a DFT-relaxed cell (PBE, the Materials Project); CuKα).
Kinematic intensities with the Lorentz-polarization factor, no thermal factor.

Peak list (8 most intense, 10 to 90 degrees two-theta, sorted by position)
10.2°, intensity 34, (0 0 1)
30.6°, intensity 100, (1 0 2)
32.2°, intensity 37, (1 1 0)
45.2°, intensity 12, (1 1 3)
46.2°, intensity 24, (2 0 0)
53.5°, intensity 23, (1 1 4)
56.4°, intensity 35, (2 1 2)
63.8°, intensity 13, (2 0 4)

Structure:
a = 3.933 Å, b = 3.933 Å, c = 8.704 Å
α = 90.00°, β = 90.00°, γ = 90.00°
Space group P4/mmm (No. 123)
One atom of each set of equivalent atoms:
Nd: 0.000 0.000 0.000 [1 per cell]
Te: 0.500 0.500 0.263 [2 per cell]
Cl: 0.000 0.000 0.500 [1 per cell]
O: 0.000 0.500 0.186 [4 per cell]
O: 0.500 0.500 0.000 [1 per cell]



2.
Structure and computed powder diffraction line list of PrPd3S4 (a DFT-relaxed cell (PBE, the Materials Project); CuKα).
Kinematic intensities with the Lorentz-polarization factor, no thermal factor.

Peak list (8 most intense, 10 to 90 degrees two-theta, sorted by position)
29.4°, intensity 97, (2 1 0)
32.3°, intensity 100, (2 1 1)
48.4°, intensity 24, (3 2 0)
50.3°, intensity 57, (3 2 1)
54.1°, intensity 32, (4 0 0)
62.8°, intensity 22, (4 2 1)
75.5°, intensity 19, (5 2 0)
80.0°, intensity 20, (4 4 0)

Structure:
a = 6.785 Å, b = 6.785 Å, c = 6.785 Å
α = 90.00°, β = 90.00°, γ = 90.00°
Space group Pm-3n (No. 223)
One atom of each set of equivalent atoms:
Pr: 0.000 0.000 0.000 [2 per cell]
Pd: 0.000 0.250 0.500 [6 per cell]
S: 0.250 0.250 0.250 [8 per cell]



3.
Structure and computed powder diffraction line list of SiBr4 (a DFT-relaxed cell (PBE, the Materials Project); CuKα).
Kinematic intensities with the Lorentz-polarization factor, no thermal factor.

Peak list (8 most intense, 10 to 90 degrees two-theta, sorted by position)
14.5°, intensity 38, (0 1 1)
16.2°, intensity 53, (2 0 0)
23.5°, intensity 67, (2 1 -2)
25.2°, intensity 86, (2 0 2)
26.6°, intensity 91, (1 1 -3)
26.9°, intensity 91, (3 1 -1)
27.4°, intensity 100, (1 2 1)
42.2°, intensity 44, (2 3 -2)

Structure:
a = 11.231 Å, b = 7.340 Å, c = 11.381 Å
α = 90.00°, β = 102.72°, γ = 90.00°
Space group P2_1/c (No. 14)
One atom of each set of equivalent atoms:
Si: 0.248 0.078 0.142 [4 per cell]
Br: 0.093 0.559 0.696 [4 per cell]
Br: 0.196 0.137 0.589 [4 per cell]
Br: 0.294 0.567 0.487 [4 per cell]
Br: 0.409 0.076 0.294 [4 per cell]



4.
Structure and computed powder diffraction line list of Tm3Sb4Pd8 (a DFT-relaxed cell (PBE, the Materials Project); CuKα).
Kinematic intensities with the Lorentz-polarization factor, no thermal factor.

Peak list (8 most intense, 10 to 90 degrees two-theta, sorted by position)
30.3°, intensity 9, (4 2 0)
33.2°, intensity 8, (4 2 2)
35.3°, intensity 34, (3 3 3)
38.6°, intensity 100, (4 4 0)
55.7°, intensity 9, (8 0 0)
67.7°, intensity 9, (9 3 1)
69.8°, intensity 21, (8 4 4)
74.3°, intensity 8, (9 5 1)

Structure:
a = 13.204 Å, b = 13.204 Å, c = 13.204 Å
α = 90.00°, β = 90.00°, γ = 90.00°
Space group Fm-3m (No. 225)
One atom of each set of equivalent atoms:
Tm: 0.000 0.000 0.224 [24 per cell]
Sb: 0.000 0.000 0.000 [4 per cell]
Sb: 0.000 0.000 0.500 [4 per cell]
Sb: 0.000 0.250 0.250 [24 per cell]
Pd: 0.119 0.119 0.381 [32 per cell]
Pd: 0.166 0.166 0.166 [32 per cell]



5.
Structure and computed powder diffraction line list of Ga2Te3 (a DFT-relaxed cell (PBE, the Materials Project); CuKα).
Kinematic intensities with the Lorentz-polarization factor, no thermal factor.

Peak list (8 most intense, 10 to 90 degrees two-theta, sorted by position)
11.8°, intensity 98, (0 0 1)
12.3°, intensity 44, (2 0 0)
15.8°, intensity 49, (2 0 -1)
24.8°, intensity 60, (4 0 0)
25.1°, intensity 61, (2 0 -2)
25.5°, intensity 100, (1 1 1)
41.3°, intensity 48, (5 1 1)
41.7°, intensity 54, (1 1 -3)

Structure:
a = 14.528 Å, b = 4.192 Å, c = 7.585 Å
α = 90.00°, β = 98.39°, γ = 90.00°
Space group Cm (No. 8)
One atom of each set of equivalent atoms:
Ga: 0.000 0.000 0.000 [2 per cell]
Ga: 0.207 0.000 0.809 [2 per cell]
Te: 0.021 0.500 0.209 [2 per cell]
Te: 0.037 0.000 0.670 [2 per cell]
Te: 0.300 0.500 0.948 [2 per cell]